# 1
Starting from a DFT-relaxed cell (GGA-PBE, Alexandria), the XRD peak list of Ce6PaN8 was simulated for Cu Kα.
Kinematic intensities with the Lorentz-polarization factor, no thermal factor.

The 12 most intense peaks (2θ = 10–90°), by intensity:
| two_theta | I (rel.) | h k l |
| --- | --- | --- |
| 30.7 | 100 | 2 2 2 |
| 35.6 | 76 | 4 0 0 |
| 51.2 | 52 | 4 4 0 |
| 60.9 | 46 | 6 2 2 |
| 15.2 | 33 | 1 1 1 |
| 86.2 | 23 | 8 4 0 |
| 83.5 | 20 | 6 6 2 |
| 29.4 | 18 | 3 1 1 |
| 63.9 | 17 | 4 4 4 |
| 75.3 | 8 | 8 0 0 |
| 46.8 | 8 | 5 1 1 |
| 53.7 | 8 | 5 3 1 |

Atomic structure:
Unit cell a=10.091 b=10.091 c=10.091 alpha=90.00 beta=90.00 gamma=90.00
Space group Fm-3m (No. 225)
Inequivalent atoms, fractional coordinates:
Ce: 0.000 0.250 0.250 x24
Pa: 0.000 0.000 0.000 x4
N: 0.000 0.000 0.227 x24
N: 0.250 0.250 0.250 x8



# 2
Starting from a DFT-relaxed cell (GGA-PBE, Alexandria), the XRD peak list of Ba2Zr7O16 was simulated for Cu Kα.
Kinematic intensities with the Lorentz-polarization factor, no thermal factor.

The 12 most intense peaks (2θ = 10–90°), by intensity:
| two_theta | I (rel.) | h k l |
| --- | --- | --- |
| 28.9 | 100 | 1 1 3 |
| 33.6 | 36 | 2 -1 6 |
| 48.5 | 30 | 1 1 12 |
| 29.3 | 30 | 0 0 9 |
| 48.0 | 30 | 3 0 0 |
| 57.2 | 23 | 0 3 9 |
| 57.6 | 13 | 2 -1 15 |
| 57.0 | 12 | 4 -2 3 |
| 70.6 | 9 | 4 -2 12 |
| 77.7 | 9 | 4 1 3 |
| 59.9 | 7 | 2 2 6 |
| 90.0 | 7 | 4 1 12 |

Atomic structure:
Unit cell a=6.5609 b=6.5609 c=27.4744 alpha=90.00 beta=90.00 gamma=120.00
Space group R-3 (No. 148, hexagonal axes)
Inequivalent atoms, fractional coordinates:
Ba: 0.0000 0.0000 0.1664 x6
Zr: 0.0000 0.0000 0.5000 x3
Zr: 0.0018 0.3701 0.3835 x18
O: 0.0000 0.0000 0.0684 x6
O: 0.0000 0.0000 0.2659 x6
O: 0.0052 0.2695 0.4552 x18
O: 0.0131 0.2901 0.6373 x18



# 3
Starting from a DFT-relaxed cell (GGA-PBE, Alexandria), the XRD peak list of Ho2AlCu7 was simulated for Cu Kα.
Kinematic intensities with the Lorentz-polarization factor, no thermal factor.

The 12 most intense peaks (2θ = 10–90°), by intensity:
| two_theta | I (rel.) | h k l |
| --- | --- | --- |
| 37.1 | 100 | 1 1 2 |
| 33.6 | 69 | 1 0 3 |
| 47.1 | 46 | 1 0 5 |
| 47.9 | 44 | 2 0 0 |
| 69.4 | 28 | 2 1 5 |
| 59.8 | 26 | 2 1 3 |
| 33.4 | 24 | 1 1 0 |
| 82.1 | 19 | 3 1 2 |
| 70.1 | 13 | 2 2 0 |
| 86.3 | 12 | 2 0 8 |
| 15.8 | 11 | 0 0 2 |
| 24.8 | 10 | 1 0 1 |

Atomic structure:
Unit cell a=3.797 b=3.797 c=11.215 alpha=90.00 beta=90.00 gamma=90.00
Space group P-4m2 (No. 115)
Inequivalent atoms, fractional coordinates:
Ho: 0.000 0.500 0.246 x2
Al: 0.000 0.000 0.500 x1
Cu: 0.000 0.000 0.000 x1
Cu: 0.000 0.500 0.646 x2
Cu: 0.000 0.500 0.862 x2
Cu: 0.500 0.500 0.000 x1
Cu: 0.500 0.500 0.500 x1



# 4
Starting from a DFT-relaxed cell (GGA-PBE, Alexandria), the XRD peak list of SrPrTm4Se8 was simulated for Cu Kα.
Kinematic intensities with the Lorentz-polarization factor, no thermal factor.

The 12 most intense peaks (2θ = 10–90°), by intensity:
| two_theta | I (rel.) | h k l |
| --- | --- | --- |
| 29.7 | 100 | 0 2 4 |
| 42.8 | 84 | 2 2 0 |
| 42.2 | 82 | 2 0 8 |
| 24.6 | 76 | 1 1 3 |
| 24.7 | 40 | 0 2 1 |
| 24.3 | 35 | 0 1 5 |
| 38.9 | 32 | 1 2 5 |
| 38.6 | 31 | 0 2 7 |
| 61.6 | 25 | 0 4 8 |
| 78.0 | 25 | 4 2 8 |
| 39.1 | 24 | 0 3 3 |
| 12.8 | 23 | 1 0 1 |

Atomic structure:
Unit cell a=8.4491 b=8.4491 c=21.1581 alpha=90.00 beta=90.00 gamma=120.00
Space group R3m (No. 160, hexagonal axes)
Inequivalent atoms, fractional coordinates:
Sr: 0.0000 0.0000 0.0000 x3
Pr: 0.0000 0.0000 0.6299 x3
Tm: 0.0000 0.0000 0.2539 x3
Tm: 0.1689 0.3378 0.4607 x9
Se: 0.0000 0.0000 0.3860 x3
Se: 0.0000 0.0000 0.8628 x3
Se: 0.0289 0.5144 0.3876 x9
Se: 0.1722 0.3443 0.2049 x9



# 5
Starting from a DFT-relaxed cell (GGA-PBE, Alexandria), the XRD peak list of LiAg7Au12 was simulated for Cu Kα.
Kinematic intensities with the Lorentz-polarization factor, no thermal factor.

The 12 most intense peaks (2θ = 10–90°), by intensity:
| two_theta | I (rel.) | h k l |
| --- | --- | --- |
| 37.9 | 100 | 4 -3 1 |
| 39.1 | 58 | 2 1 4 |
| 40.6 | 46 | 2 0 5 |
| 17.7 | 30 | 1 1 0 |
| 37.4 | 28 | 0 3 3 |
| 39.9 | 27 | 3 1 2 |
| 36.2 | 20 | 0 1 5 |
| 65.5 | 19 | 5 -4 6 |
| 27.3 | 17 | 2 -1 3 |
| 46.0 | 13 | 5 -2 1 |
| 47.0 | 12 | 1 3 4 |
| 47.7 | 12 | 2 3 2 |

Atomic structure:
Unit cell a=10.0470 b=10.0470 c=12.9308 alpha=90.00 beta=90.00 gamma=120.00
Space group R-3 (No. 148, hexagonal axes)
Inequivalent atoms, fractional coordinates:
Li: 0.0000 0.0000 0.0000 x3
Ag: 0.0000 0.0000 0.5000 x3
Ag: 0.0474 0.1857 0.8034 x18
Au: 0.0372 0.4620 0.7068 x18
Au: 0.0496 0.5896 0.0885 x18



# 6
Starting from a DFT-relaxed cell (GGA-PBE, Alexandria), the XRD peak list of CePrY2Ho was simulated for Cu Kα.
Kinematic intensities with the Lorentz-polarization factor, no thermal factor.

The 12 most intense peaks (2θ = 10–90°), by intensity:
| two_theta | I (rel.) | h k l |
| --- | --- | --- |
| 30.3 | 100 | 1 2 1 |
| 30.8 | 72 | 1 1 2 |
| 34.9 | 57 | 2 1 1 |
| 54.0 | 35 | 3 2 1 |
| 48.7 | 28 | 2 3 1 |
| 23.1 | 27 | 0 2 0 |
| 26.7 | 26 | 0 1 2 |
| 11.5 | 23 | 0 1 0 |
| 38.2 | 23 | 0 1 3 |
| 30.5 | 21 | 2 0 0 |
| 51.3 | 20 | 0 3 3 |
| 32.8 | 20 | 2 0 1 |

Atomic structure:
Unit cell a=5.867 b=7.695 c=7.416 alpha=90.00 beta=90.00 gamma=90.00
Space group Pmma (No. 51)
Inequivalent atoms, fractional coordinates:
Ce: 0.000 0.000 0.000 x2
Pr: 0.250 0.500 0.160 x2
Y: 0.250 0.287 0.672 x4
Ho: 0.250 0.000 0.379 x2



# 7
Starting from a DFT-relaxed cell (GGA-PBE, Alexandria), the XRD peak list of NaNpZn2O8 was simulated for Cu Kα.
Kinematic intensities with the Lorentz-polarization factor, no thermal factor.

The 12 most intense peaks (2θ = 10–90°), by intensity:
| two_theta | I (rel.) | h k l |
| --- | --- | --- |
| 27.6 | 100 | 2 0 0 |
| 29.8 | 93 | 1 1 2 |
| 17.7 | 92 | 1 0 1 |
| 50.2 | 66 | 3 1 2 |
| 19.4 | 65 | 1 1 0 |
| 54.2 | 28 | 2 0 4 |
| 39.5 | 24 | 2 2 0 |
| 33.0 | 23 | 2 1 1 |
| 36.7 | 20 | 1 0 3 |
| 65.7 | 19 | 3 3 2 |
| 35.8 | 17 | 2 0 2 |
| 22.4 | 16 | 0 0 2 |

Atomic structure:
Unit cell a=6.460 b=6.460 c=7.948 alpha=90.00 beta=90.00 gamma=90.00
Space group I-4m2 (No. 119)
Inequivalent atoms, fractional coordinates:
Na: 0.000 0.000 0.000 x2
Np: 0.000 0.500 0.250 x2
Zn: 0.000 0.000 0.500 x2
Zn: 0.000 0.500 0.750 x2
O: 0.000 0.199 0.298 x8
O: 0.000 0.380 0.971 x8